Record 1
This entry pairs a crystal structure of Tb3Ir with its computed XRD peak list. Radiation: CuKα. Structure: a cell relaxed with PBE.

The 10 most intense peaks (2θ from 10° to 80°), by intensity:
- 34.3 deg, d = 2.612 Å, rel. 100
- 32.3 deg, d = 2.768 Å, rel. 66
- 32.0 deg, d = 2.799 Å, rel. 42
- 31.2 deg, d = 2.868 Å, rel. 39
- 38.0 deg, d = 2.366 Å, rel. 34
- 30.0 deg, d = 2.983 Å, rel. 28
- 39.9 deg, d = 2.259 Å, rel. 27
- 36.5 deg, d = 2.464 Å, rel. 27
- 49.0 deg, d = 1.857 Å, rel. 23
- 34.2 deg, d = 2.620 Å, rel. 23

Structure:
Lattice parameters (Å, degrees): 7.2567 9.3651 6.3212 90.00 90.00 90.00
Sites, in units of the cell vectors:
1 Tb 0.0340 0.2500 0.1341
2 Tb 0.1769 0.0629 0.6712
3 Tb 0.1769 0.4371 0.6712
4 Tb 0.3231 0.5629 0.1712
5 Tb 0.3231 0.9371 0.1712
6 Tb 0.4660 0.7500 0.6341
7 Tb 0.5340 0.2500 0.3659
8 Tb 0.6769 0.0629 0.8288
9 Tb 0.6769 0.4371 0.8288
10 Tb 0.8231 0.5629 0.3288
11 Tb 0.8231 0.9371 0.3288
12 Tb 0.9660 0.7500 0.8659
13 Ir 0.1184 0.7500 0.4476
14 Ir 0.3816 0.2500 0.9476
15 Ir 0.6184 0.7500 0.0524
16 Ir 0.8816 0.2500 0.5524

---

Record 2
This entry pairs a crystal structure of Ni with its computed XRD peak list. Radiation: CuKα. Structure: a cell relaxed with PBE.

The 9 most intense peaks (2θ from 10° to 80°), by intensity:
- 48.6 deg, d = 1.873 Å, rel. 100
- 47.5 deg, d = 1.914 Å, rel. 59
- 44.8 deg, d = 2.021 Å, rel. 44
- 42.8 deg, d = 2.114 Å, rel. 28
- 76.7 deg, d = 1.243 Å, rel. 16
- 63.7 deg, d = 1.461 Å, rel. 16
- 41.5 deg, d = 2.174 Å, rel. 11
- 79.2 deg, d = 1.210 Å, rel. 7
- 62.8 deg, d = 1.480 Å, rel. 6

Structure:
Lattice parameters (Å, degrees): 2.4193 4.3474 4.0425 90.00 90.00 90.00
Sites, in units of the cell vectors:
1 Ni 0.0000 0.1626 0.2500
2 Ni 0.0000 0.8374 0.7500
3 Ni 0.5000 0.3374 0.7500
4 Ni 0.5000 0.6626 0.2500

---

Record 3
This entry pairs a crystal structure of Gd2ErCo2B2C3 with its computed XRD peak list. Radiation: CuKα. Structure: a cell relaxed with PBE.

The 10 most intense peaks (2θ from 10° to 80°), by intensity:
- 28.2 deg, d = 3.160 Å, rel. 100
- 33.3 deg, d = 2.688 Å, rel. 80
- 35.1 deg, d = 2.554 Å, rel. 47
- 35.6 deg, d = 2.523 Å, rel. 38
- 36.7 deg, d = 2.449 Å, rel. 37
- 51.2 deg, d = 1.784 Å, rel. 34
- 63.6 deg, d = 1.462 Å, rel. 32
- 39.9 deg, d = 2.262 Å, rel. 27
- 62.5 deg, d = 1.486 Å, rel. 27
- 59.5 deg, d = 1.553 Å, rel. 27

Structure:
Lattice parameters (Å, degrees): 10.5247 10.5247 10.5247 160.48 160.48 27.74
Sites, in units of the cell vectors:
1 Gd 0.1243 0.1243 0.0000
2 Gd 0.8757 0.8757 0.0000
3 Er 0.5000 0.5000 0.0000
4 Co 0.2500 0.7500 0.5000
5 Co 0.7500 0.2500 0.5000
6 B 0.3050 0.3050 0.0000
7 B 0.6950 0.6950 0.0000
8 C 0.0000 0.0000 0.0000
9 C 0.3789 0.3789 0.0000
10 C 0.6211 0.6211 0.0000

---

Record 4
This entry pairs a crystal structure of Zr3ZnIn2Pt3 with its computed XRD peak list. Radiation: CuKα. Structure: a cell relaxed with PBE.

The 10 most intense peaks (2θ from 10° to 80°), by intensity:
- 37.5 deg, d = 2.397 Å, rel. 100
- 34.8 deg, d = 2.578 Å, rel. 71
- 68.3 deg, d = 1.374 Å, rel. 62
- 41.8 deg, d = 2.160 Å, rel. 50
- 23.8 deg, d = 3.744 Å, rel. 44
- 44.9 deg, d = 2.020 Å, rel. 42
- 28.6 deg, d = 3.119 Å, rel. 35
- 41.7 deg, d = 2.166 Å, rel. 27
- 51.4 deg, d = 1.778 Å, rel. 24
- 36.6 deg, d = 2.454 Å, rel. 23

Structure:
Lattice parameters (Å, degrees): 3.5569 7.4972 7.4972 120.20 90.00 90.00
Sites, in units of the cell vectors:
1 Zr 0.0000 0.0000 0.0000
2 Zr 0.0000 0.4281 0.8097
3 Zr 0.0000 0.8097 0.4281
4 Zn 0.5000 0.6875 0.6875
5 In 0.5000 0.1440 0.4083
6 In 0.5000 0.4083 0.1440
7 Pt 0.0000 0.4319 0.4319
8 Pt 0.5000 0.0711 0.7410
9 Pt 0.5000 0.7410 0.0711

---

Record 5
This entry pairs a crystal structure of LiReBO4 with its computed XRD peak list. Radiation: CuKα. Structure: a cell relaxed with PBE.

The 10 most intense peaks (2θ from 10° to 80°), by intensity:
- 23.2 deg, d = 3.829 Å, rel. 100
- 43.9 deg, d = 2.065 Å, rel. 37
- 25.7 deg, d = 3.467 Å, rel. 32
- 39.2 deg, d = 2.296 Å, rel. 32
- 29.1 deg, d = 3.065 Å, rel. 15
- 47.5 deg, d = 1.914 Å, rel. 14
- 48.2 deg, d = 1.886 Å, rel. 14
- 62.1 deg, d = 1.495 Å, rel. 14
- 67.7 deg, d = 1.383 Å, rel. 12
- 36.7 deg, d = 2.451 Å, rel. 12

Structure:
Lattice parameters (Å, degrees): 4.9028 4.9028 6.1307 90.00 90.00 90.00
Sites, in units of the cell vectors:
1 Li 0.0000 0.0000 0.0000
2 Li 0.5000 0.5000 0.5000
3 Re 0.0000 0.0000 0.5000
4 Re 0.5000 0.5000 0.0000
5 B 0.0000 0.5000 0.2500
6 B 0.5000 0.0000 0.7500
7 O 0.1696 0.6807 0.3841
8 O 0.1807 0.3304 0.1159
9 O 0.3193 0.1696 0.6159
10 O 0.3304 0.8193 0.8841
11 O 0.6696 0.1807 0.8841
12 O 0.6807 0.8304 0.6159
13 O 0.8193 0.6696 0.1159
14 O 0.8304 0.3193 0.3841

---

Record 6
This entry pairs a crystal structure of Mg8Cu5 with its computed XRD peak list. Radiation: CuKα. Structure: a cell relaxed with PBE.

The 10 most intense peaks (2θ from 10° to 80°), by intensity:
- 31.8 deg, d = 2.817 Å, rel. 100
- 33.6 deg, d = 2.666 Å, rel. 88
- 35.0 deg, d = 2.566 Å, rel. 77
- 35.2 deg, d = 2.547 Å, rel. 75
- 46.9 deg, d = 1.936 Å, rel. 65
- 17.3 deg, d = 5.133 Å, rel. 63
- 48.2 deg, d = 1.889 Å, rel. 61
- 48.0 deg, d = 1.897 Å, rel. 61
- 70.7 deg, d = 1.332 Å, rel. 26
- 36.4 deg, d = 2.469 Å, rel. 22

Structure:
Lattice parameters (Å, degrees): 5.8273 5.6336 6.0543 90.00 118.26 90.00
Sites, in units of the cell vectors:
1 Mg 0.0000 0.0000 0.0000
2 Mg 0.0000 0.0000 0.5000
3 Mg 0.0000 0.5000 0.0000
4 Mg 0.0000 0.5000 0.5000
5 Mg 0.5000 0.0000 0.0000
6 Mg 0.5000 0.0000 0.5000
7 Mg 0.5000 0.5000 0.0000
8 Mg 0.5000 0.5000 0.5000
9 Cu 0.0000 0.0000 0.0000
10 Cu 0.0000 0.0000 0.5000
11 Cu 0.0000 0.5000 0.0000
12 Cu 0.0000 0.5000 0.5000
13 Cu 0.5000 0.0000 0.0000

---

Record 7
This entry pairs a crystal structure of SmDyCuSi3 with its computed XRD peak list. Radiation: CuKα. Structure: a cell relaxed with PBE.

The 10 most intense peaks (2θ from 10° to 80°), by intensity:
- 33.8 deg, d = 2.655 Å, rel. 100
- 25.6 deg, d = 3.476 Å, rel. 36
- 45.2 deg, d = 2.007 Å, rel. 32
- 57.6 deg, d = 1.601 Å, rel. 21
- 64.9 deg, d = 1.436 Å, rel. 21
- 76.0 deg, d = 1.252 Å, rel. 19
- 44.0 deg, d = 2.057 Å, rel. 11
- 51.6 deg, d = 1.770 Å, rel. 11
- 74.4 deg, d = 1.275 Å, rel. 10
- 21.6 deg, d = 4.113 Å, rel. 7

Structure:
Lattice parameters (Å, degrees): 8.0775 8.0272 5.7473 69.56 68.62 41.81
Sites, in units of the cell vectors:
1 Sm 0.2435 0.7565 0.2435
2 Sm 0.7565 0.2435 0.7565
3 Dy 0.2500 0.2500 0.2500
4 Dy 0.7500 0.7500 0.7500
5 Cu 0.3329 0.3329 0.6671
6 Cu 0.6671 0.6671 0.3329
7 Si 0.1696 0.1696 0.8304
8 Si 0.1701 0.6596 0.8299
9 Si 0.3404 0.8299 0.6596
10 Si 0.6596 0.1701 0.3404
11 Si 0.8299 0.3404 0.1701
12 Si 0.8304 0.8304 0.1696

---

Record 8
This entry pairs a crystal structure of Y2NbB6 with its computed XRD peak list. Radiation: CuKα. Structure: a cell relaxed with PBE.

The 10 most intense peaks (2θ from 10° to 80°), by intensity:
- 24.2 deg, d = 3.683 Å, rel. 100
- 38.5 deg, d = 2.340 Å, rel. 55
- 40.4 deg, d = 2.233 Å, rel. 48
- 38.6 deg, d = 2.332 Å, rel. 48
- 29.5 deg, d = 3.030 Å, rel. 41
- 40.8 deg, d = 2.212 Å, rel. 39
- 29.7 deg, d = 3.013 Å, rel. 34
- 31.9 deg, d = 2.808 Å, rel. 34
- 39.2 deg, d = 2.299 Å, rel. 33
- 49.5 deg, d = 1.842 Å, rel. 28

Structure:
Lattice parameters (Å, degrees): 9.4064 11.7688 3.6832 90.00 90.00 90.00
Sites, in units of the cell vectors:
1 Y 0.0569 0.1290 0.0000
2 Y 0.1776 0.4137 0.0000
3 Y 0.3224 0.9137 0.0000
4 Y 0.4431 0.6290 0.0000
5 Y 0.5569 0.3710 0.0000
6 Y 0.6776 0.0863 0.0000
7 Y 0.8224 0.5863 0.0000
8 Y 0.9431 0.8710 0.0000
9 Nb 0.1408 0.6796 0.0000
10 Nb 0.3592 0.1796 0.0000
11 Nb 0.6408 0.8204 0.0000
12 Nb 0.8592 0.3204 0.0000
13 B 0.0217 0.2881 0.5000
14 B 0.0523 0.5641 0.5000
15 B 0.1010 0.9718 0.5000
16 B 0.1320 0.8185 0.5000
17 B 0.2043 0.2388 0.5000
18 B 0.2478 0.0772 0.5000
19 B 0.2522 0.5772 0.5000
20 B 0.2957 0.7388 0.5000
21 B 0.3680 0.3185 0.5000
22 B 0.3990 0.4718 0.5000
23 B 0.4477 0.0641 0.5000
24 B 0.4783 0.7881 0.5000
25 B 0.5217 0.2119 0.5000
26 B 0.5523 0.9359 0.5000
27 B 0.6010 0.5282 0.5000
28 B 0.6320 0.6815 0.5000
29 B 0.7043 0.2612 0.5000
30 B 0.7478 0.4228 0.5000
31 B 0.7522 0.9228 0.5000
32 B 0.7957 0.7612 0.5000
33 B 0.8680 0.1815 0.5000
34 B 0.8990 0.0282 0.5000
35 B 0.9477 0.4359 0.5000
36 B 0.9783 0.7119 0.5000

---

Record 9
This entry pairs a crystal structure of Nd2GdO4 with its computed XRD peak list. Radiation: CuKα. Structure: a cell relaxed with PBE.

The 10 most intense peaks (2θ from 10° to 80°), by intensity:
- 30.0 deg, d = 2.979 Å, rel. 100
- 52.4 deg, d = 1.747 Å, rel. 41
- 47.8 deg, d = 1.902 Å, rel. 37
- 25.5 deg, d = 3.494 Å, rel. 28
- 73.6 deg, d = 1.286 Å, rel. 23
- 31.4 deg, d = 2.853 Å, rel. 22
- 61.5 deg, d = 1.507 Å, rel. 13
- 44.9 deg, d = 2.017 Å, rel. 12
- 62.3 deg, d = 1.490 Å, rel. 11
- 36.4 deg, d = 2.470 Å, rel. 9

Structure:
Lattice parameters (Å, degrees): 6.9873 6.9873 6.9873 60.00 60.00 60.00
Sites, in units of the cell vectors:
1 Nd 0.0000 0.0000 0.0000
2 Nd 0.0000 0.0000 0.5000
3 Nd 0.0000 0.5000 0.0000
4 Nd 0.5000 0.0000 0.0000
5 Gd 0.3750 0.3750 0.3750
6 Gd 0.6250 0.6250 0.6250
7 O 0.2412 0.7529 0.7529
8 O 0.2471 0.2471 0.2471
9 O 0.2471 0.2471 0.7588
10 O 0.2471 0.7588 0.2471
11 O 0.7529 0.2412 0.7529
12 O 0.7529 0.7529 0.2412
13 O 0.7529 0.7529 0.7529
14 O 0.7588 0.2471 0.2471

---

Record 10
This entry pairs a crystal structure of K2Ni3Sb2 with its computed XRD peak list. Radiation: CuKα. Structure: a cell relaxed with PBE.

The 10 most intense peaks (2θ from 10° to 80°), by intensity:
- 15.6 deg, d = 5.685 Å, rel. 100
- 42.0 deg, d = 2.151 Å, rel. 54
- 53.4 deg, d = 1.715 Å, rel. 45
- 45.1 deg, d = 2.012 Å, rel. 41
- 31.9 deg, d = 2.806 Å, rel. 40
- 31.5 deg, d = 2.843 Å, rel. 35
- 26.1 deg, d = 3.415 Å, rel. 30
- 65.7 deg, d = 1.422 Å, rel. 12
- 59.6 deg, d = 1.551 Å, rel. 11
- 53.7 deg, d = 1.707 Å, rel. 9

Structure:
Lattice parameters (Å, degrees): 11.6391 11.6391 11.6391 21.30 21.30 21.30
Sites, in units of the cell vectors:
1 K 0.0000 0.0000 0.0000
2 K 0.4942 0.4942 0.4942
3 Ni 0.4041 0.4041 0.4041
4 Ni 0.5872 0.5872 0.5872
5 Ni 0.9053 0.9053 0.9053
6 Sb 0.2466 0.2466 0.2466
7 Sb 0.7442 0.7442 0.7442

---

Record 11
This entry pairs a crystal structure of Ni10Pb with its computed XRD peak list. Radiation: CuKα. Structure: a cell relaxed with PBE.

The 10 most intense peaks (2θ from 10° to 80°), by intensity:
- 43.4 deg, d = 2.083 Å, rel. 100
- 44.5 deg, d = 2.035 Å, rel. 89
- 45.4 deg, d = 1.998 Å, rel. 51
- 52.3 deg, d = 1.749 Å, rel. 35
- 46.1 deg, d = 1.968 Å, rel. 31
- 52.6 deg, d = 1.741 Å, rel. 29
- 77.3 deg, d = 1.234 Å, rel. 26
- 32.4 deg, d = 2.759 Å, rel. 25
- 48.8 deg, d = 1.866 Å, rel. 23
- 38.5 deg, d = 2.338 Å, rel. 22

Structure:
Lattice parameters (Å, degrees): 4.2684 4.2684 27.5564 90.31 90.31 48.39
Sites, in units of the cell vectors:
1 Ni 0.0491 0.0491 0.2576
2 Ni 0.0501 0.0501 0.5426
3 Ni 0.1503 0.1503 0.3432
4 Ni 0.1502 0.1502 0.6280
5 Ni 0.2499 0.2499 0.4288
6 Ni 0.2498 0.2498 0.7142
7 Ni 0.3500 0.3500 0.5142
8 Ni 0.3531 0.3531 0.2306
9 Ni 0.4502 0.4502 0.3152
10 Ni 0.4500 0.4500 0.5995
11 Ni 0.5500 0.5500 0.4005
12 Ni 0.5498 0.5498 0.6848
13 Ni 0.6469 0.6469 0.7694
14 Ni 0.6500 0.6500 0.4858
15 Ni 0.7502 0.7502 0.2858
16 Ni 0.7501 0.7501 0.5712
17 Ni 0.8498 0.8498 0.3720
18 Ni 0.8497 0.8497 0.6568
19 Ni 0.9499 0.9499 0.4574
20 Ni 0.9509 0.9509 0.7424
21 Pb 0.3476 0.3476 0.8189
22 Pb 0.6524 0.6524 0.1811

---

Record 12
This entry pairs a crystal structure of KGdOsS4 with its computed XRD peak list. Radiation: CuKα. Structure: a cell relaxed with PBE.

The 10 most intense peaks (2θ from 10° to 80°), by intensity:
- 10.8 deg, d = 8.169 Å, rel. 100
- 17.4 deg, d = 5.103 Å, rel. 45
- 25.7 deg, d = 3.467 Å, rel. 42
- 32.8 deg, d = 2.729 Å, rel. 28
- 40.1 deg, d = 2.251 Å, rel. 22
- 27.3 deg, d = 3.267 Å, rel. 20
- 30.4 deg, d = 2.940 Å, rel. 19
- 34.1 deg, d = 2.628 Å, rel. 16
- 33.0 deg, d = 2.714 Å, rel. 14
- 47.3 deg, d = 1.923 Å, rel. 13

Structure:
Lattice parameters (Å, degrees): 6.5915 6.5345 8.6707 90.00 109.59 90.00
Sites, in units of the cell vectors:
1 K 0.2366 0.0000 0.0484
2 K 0.7634 0.5000 0.9516
3 Gd 0.2077 0.9867 0.5464
4 Gd 0.7923 0.4867 0.4536
5 Os 0.2845 0.4692 0.3554
6 Os 0.7155 0.9692 0.6446
7 S 0.0000 0.2434 0.2904
8 S 0.0000 0.7434 0.7096
9 S 0.0169 0.7220 0.2905
10 S 0.4336 0.5496 0.1675
11 S 0.4893 0.6340 0.5901
12 S 0.5107 0.1340 0.4099
13 S 0.5664 0.0496 0.8325
14 S 0.9831 0.2220 0.7095